The following is a theoretical X-ray powder pattern of PrAl2Ag. It was derived from a structure optimized by DFT (PBE), using Cu Kα.
Kinematic intensities with the Lorentz-polarization factor, no thermal factor.

Top 12 peaks for 10 to 80 degrees two-theta, by angle:
two_theta  I (rel.)
19.04  38
27.75  48
29.17  100
31.64  75
32.24  75
35.25  25
40.63  35
41.63  33
43.87  31
48.71  27
52.39  36
59.58  24

Structural model:
```
PrAl2Ag
1.0
2.169 -9.322 0.000
2.169 9.322 0.000
0.000 0.000 4.441
Pr Al Ag
2 4 2
direct
0.105 0.895 0.750 Pr
0.895 0.105 0.250 Pr
0.250 0.750 0.250 Al
0.465 0.535 0.750 Al
0.535 0.465 0.250 Al
0.750 0.250 0.750 Al
0.328 0.672 0.750 Ag
0.672 0.328 0.250 Ag
```